Entry 1:
The following is a theoretical X-ray diffraction stick pattern of TbSm3Dy2Tm6. It was derived from the PBE geometry in Alexandria, using Cu Kα X-rays.
Intensities are scaled so that the largest is 100.

Peak list (11 most intense, 2θ = 10–80°, in order of rising 2θ)
hkl 1 3 1, 30.95 deg, rel. 100.0; hkl 0 0 4, 31.16 deg, rel. 32.7; hkl 2 0 2, 35.95 deg, rel. 67.2; hkl 0 6 0, 51.62 deg, rel. 24.1; hkl 1 3 5, 51.89 deg, rel. 23.7; hkl 4 0 0, 61.42 deg, rel. 14.3; hkl 3 3 3, 61.54 deg, rel. 28.4; hkl 2 0 6, 61.78 deg, rel. 14.0; hkl 2 6 2, 64.51 deg, rel. 12.3; hkl 0 0 8, 64.97 deg, rel. 4.0; hkl 4 0 4, 76.23 deg, rel. 7.6

Cell and atoms:
Cell: 6.1353 10.6194 11.6619 Å, 90.00 100.06 90.00°
Space group C2/m (No. 12)
One atom of each set of equivalent atoms:
Tb1 0.0000 0.0000 0.0000 [2 per cell]
Sm1 0.0000 0.1666 0.5000 [4 per cell]
Sm2 0.0000 0.5000 0.5000 [2 per cell]
Dy1 0.0000 0.3333 0.0000 [4 per cell]
Tm1 0.2504 0.0000 0.7520 [4 per cell]
Tm2 0.2497 0.1667 0.2480 [8 per cell]

Entry 2:
The following is a theoretical X-ray diffraction stick pattern of Tb4Sm2DyTm. It was derived from the PBE geometry in Alexandria, using Cu Kα X-rays.
Intensities are scaled so that the largest is 100.

Peak list (10 most intense, 2θ = 10–80°, in order of rising 2θ)
hkl 1 1 0, 10.04 deg, rel. 0.6; hkl 0 4 0, 26.88 deg, rel. 45.3; hkl 4 0 0, 30.33 deg, rel. 100.0; hkl 4 4 0, 40.97 deg, rel. 88.6; hkl 4 0 -4, 53.88 deg, rel. 20.0; hkl 0 8 0, 55.41 deg, rel. 6.1; hkl 4 4 -4, 61.22 deg, rel. 27.1; hkl 8 0 -4, 63.08 deg, rel. 12.4; hkl 4 8 0, 64.48 deg, rel. 23.1; hkl 8 4 -4, 69.84 deg, rel. 18.3

Cell and atoms:
Cell: 13.6125 13.2658 6.8077 Å, 90.00 120.01 90.00°
Space group C2/c (No. 15)
One atom of each set of equivalent atoms:
Tb1 0.0001 0.2459 0.0012 [8 per cell]
Tb2 0.2465 0.0014 0.4949 [8 per cell]
Sm1 0.0000 0.5000 0.0000 [4 per cell]
Sm2 0.2500 0.2500 0.0000 [4 per cell]
Dy1 0.2500 0.2500 0.5000 [4 per cell]
Tm1 0.0000 0.0000 0.0000 [4 per cell]

Entry 3:
The following is a theoretical X-ray diffraction stick pattern of Tb2SmDy2Y2. It was derived from the PBE geometry in Alexandria, using Cu Kα X-rays.
Intensities are scaled so that the largest is 100.

Peak list (12 most intense, 2θ = 10–80°, in order of rising 2θ)
hkl 0 0 3, 10.83 deg, rel. 4.1; hkl 1 0 4, 23.19 deg, rel. 3.2; hkl 1 0 7, 31.37 deg, rel. 98.7; hkl 1 1 0, 31.50 deg, rel. 100.0; hkl 1 1 6, 38.61 deg, rel. 4.1; hkl 0 2 7, 45.05 deg, rel. 36.3; hkl 0 1 14, 55.75 deg, rel. 18.3; hkl 3 0 0, 56.03 deg, rel. 57.5; hkl 2 0 14, 65.45 deg, rel. 11.5; hkl 2 2 0, 65.76 deg, rel. 12.0; hkl 1 2 14, 74.45 deg, rel. 15.1; hkl 1 3 7, 74.67 deg, rel. 16.1

Cell and atoms:
Cell: 5.6804 5.6804 24.5020 Å, 90.00 90.00 120.00°
Space group R-3m (No. 166, hexagonal axes)
One atom of each set of equivalent atoms:
Tb1 0.0000 0.0000 0.2197 [6 per cell]
Sm1 0.0000 0.0000 0.5000 [3 per cell]
Dy1 0.0000 0.0000 0.0738 [6 per cell]
Y1 0.0000 0.0000 0.3595 [6 per cell]